No. 1
Ga2CoS2O2: computed powder diffraction line list (Cu Kα (λ = 1.5418 Å)), based on a structure optimized by DFT (PBE+U).

Largest 10 diffraction maxima, in order of falling intensity, 5° ≤ 2θ ≤ 70°:
hkl 0 0 4, 20.89°, 4.253 Å, I 100
hkl 1 0 1, 24.50°, 3.633 Å, I 95
hkl 1 1 2, 35.74°, 2.512 Å, I 88
hkl 1 1 4, 40.32°, 2.237 Å, I 68
hkl 1 1 6, 47.14°, 1.928 Å, I 64
hkl 2 0 0, 48.98°, 1.860 Å, I 56
hkl 0 0 2, 10.40°, 8.505 Å, I 53
hkl 0 0 8, 42.52°, 2.126 Å, I 38
hkl 2 0 8, 66.84°, 1.400 Å, I 35
hkl 2 0 4, 53.81°, 1.704 Å, I 33

Structure:
```
data_Ga2CoS2O2
_cell_length_a 3.719
_cell_length_b 3.719
_cell_length_c 17.010
_cell_angle_alpha 90.00
_cell_angle_beta 90.00
_cell_angle_gamma 90.00
_space_group_name_H-M_alt 'I 4/m m m'
_space_group_IT_number 139
_space_group_name_Hall '-I 4 2'
loop_
_atom_site_label
_atom_site_type_symbol
_atom_site_fract_x
_atom_site_fract_y
_atom_site_fract_z
Ga1 Ga 0.000 0.500 0.250
Co1 Co 0.000 0.000 0.000
S1 S 0.000 0.000 0.141
O1 O 0.000 0.500 0.000
```


No. 2
Sr2GaCo2O7: computed powder diffraction line list (Cu Kα (λ = 1.5418 Å)), based on a structure optimized by DFT (PBE+U).

Largest 10 diffraction maxima, in order of falling intensity, 5° ≤ 2θ ≤ 70°:
hkl 4 1 1, 28.69°, 3.111 Å, I 100
hkl 6 1 1, 33.37°, 2.685 Å, I 70
hkl 10 0 0, 37.85°, 2.377 Å, I 50
hkl 0 2 2, 49.95°, 1.826 Å, I 42
hkl 0 0 2, 34.94°, 2.568 Å, I 37
hkl 0 2 0, 34.54°, 2.597 Å, I 35
hkl 8 1 1, 39.08°, 2.305 Å, I 29
hkl 10 2 2, 64.34°, 1.448 Å, I 28
hkl 10 0 2, 52.45°, 1.744 Å, I 25
hkl 2 1 1, 25.52°, 3.491 Å, I 21

Structure:
```
data_Sr2GaCo2O7
_cell_length_a 23.770
_cell_length_b 5.194
_cell_length_c 5.135
_cell_angle_alpha 90.00
_cell_angle_beta 90.00
_cell_angle_gamma 90.00
_space_group_name_H-M_alt 'I m a 2'
_space_group_IT_number 46
loop_
_space_group_symop_operation_xyz
'x,y,z'
'-x,-y,z'
'-x+1/2,y,z'
'x+1/2,-y,z'
'x+1/2,y+1/2,z+1/2'
'-x+1/2,-y+1/2,z+1/2'
'-x,y+1/2,z+1/2'
'x,-y+1/2,z+1/2'
loop_
_atom_site_label
_atom_site_type_symbol
_atom_site_fract_x
_atom_site_fract_y
_atom_site_fract_z
Sr1 Sr 0.148 0.007 0.000
Ga1 Ga 0.250 0.569 0.944
Co1 Co 0.055 0.501 0.001
O1 O 0.064 0.239 0.739
O2 O 0.066 0.738 0.760
O3 O 0.176 0.023 0.512
O4 O 0.250 0.585 0.572
```


No. 3
Sr2YGaCo2O7: computed powder diffraction line list (Cu Kα (λ = 1.5418 Å)), based on a structure optimized by DFT (PBE+U).

Largest 10 diffraction maxima, in order of falling intensity, 5° ≤ 2θ ≤ 70°:
hkl 1 1 2, 32.87°, 2.725 Å, I 100
hkl 2 2 -2, 46.29°, 1.961 Å, I 33
hkl 2 0 -1, 32.68°, 2.740 Å, I 31
hkl 0 2 -1, 31.86°, 2.809 Å, I 30
hkl 3 1 -5, 58.44°, 1.579 Å, I 20
hkl -1 3 2, 57.42°, 1.605 Å, I 16
hkl 1 1 -5, 39.15°, 2.301 Å, I 16
hkl 0 0 6, 48.04°, 1.894 Å, I 9
hkl 0 0 1, 7.78°, 11.363 Å, I 9
hkl 2 0 -7, 59.32°, 1.558 Å, I 7

Structure:
```
data_Sr2YGaCo2O7
_cell_length_a 5.481
_cell_length_b 5.617
_cell_length_c 12.019
_cell_angle_alpha 103.47
_cell_angle_beta 103.16
_cell_angle_gamma 90.04
_space_group_name_H-M_alt 'P 1'
_space_group_IT_number 1
loop_
_space_group_symop_operation_xyz
'x,y,z'
loop_
_atom_site_label
_atom_site_type_symbol
_atom_site_fract_x
_atom_site_fract_y
_atom_site_fract_z
Sr1 Sr 0.000 0.000 0.000
Sr2 Sr 0.200 0.194 0.396
Sr3 Sr 0.499 0.541 0.000
Sr4 Sr 0.699 0.742 0.397
Y1 Y 0.342 0.366 0.700
Y2 Y 0.844 0.876 0.700
Ga1 Ga 0.130 0.547 0.198
Ga2 Ga 0.630 0.192 0.198
Co1 Co 0.263 0.784 0.542
Co2 Co 0.422 0.950 0.856
Co3 Co 0.763 0.299 0.542
Co4 Co 0.920 0.447 0.855
O1 O 0.049 0.081 0.572
O2 O 0.138 0.743 0.346
O3 O 0.140 0.169 0.832
O4 O 0.174 0.665 0.826
O5 O 0.476 0.496 0.199
O6 O 0.489 0.996 0.051
O7 O 0.494 0.526 0.567
O8 O 0.549 0.031 0.571
O9 O 0.638 0.144 0.346
O10 O 0.639 0.203 0.830
O11 O 0.674 0.703 0.826
O12 O 0.976 0.243 0.199
O13 O 0.989 0.596 0.051
O14 O 0.995 0.582 0.568
```